Simulated X-ray diffraction stick pattern of Tb5ErAl2 for copper Kα, from a crystal structure in Alexandria, relaxed with PBE.
No peak broadening, texture or thermal motion is included.

The 8 most intense peaks (10° ≤ 2θ ≤ 90°), most intense first:
31.52°, d = 2.838 Å, intensity 100, hkl 1 2 1; 33.87°, d = 2.647 Å, intensity 79, hkl 0 2 4; 33.46°, d = 2.678 Å, intensity 66, hkl 1 0 3; 48.96°, d = 1.860 Å, intensity 35, hkl 1 4 3; 22.44°, d = 3.962 Å, intensity 31, hkl 0 2 2; 34.69°, d = 2.586 Å, intensity 30, hkl 0 4 0; 63.31°, d = 1.469 Å, intensity 28, hkl 2 2 4; 61.52°, d = 1.507 Å, intensity 27, hkl 1 2 7

Crystal structure
a b c (Å): 3.532 10.343 12.326
angles (deg): 90.00 90.00 90.00
Atoms (fractional coordinates):
Tb 0.000 0.000 0.000
Tb 0.000 0.276 0.362
Tb 0.000 0.276 0.638
Tb 0.000 0.724 0.362
Tb 0.000 0.724 0.638
Tb 0.500 0.224 0.138
Tb 0.500 0.224 0.862
Tb 0.500 0.500 0.500
Tb 0.500 0.776 0.138
Tb 0.500 0.776 0.862
Er 0.000 0.500 0.000
Er 0.500 0.000 0.500
Al 0.000 0.000 0.267
Al 0.000 0.000 0.733
Al 0.500 0.500 0.233
Al 0.500 0.500 0.767